The following is a simulated XRD peak list of Ca4Mn3SbO12. It was derived from the GGA+U geometry in the Materials Project, using copper Kα.

Peak list (10 most intense, 2θ = 5–70°, low angle first)
| Position (°2θ) | I/Imax | index |
| --- | --- | --- |
| 23.06 | 40 | 1 1 0 |
| 25.84 | 11 | 1 1 1 |
| 32.54 | 25 | 0 2 0 |
| 32.83 | 100 | 1 -1 2 |
| 33.12 | 24 | 2 0 0 |
| 47.12 | 54 | 0 0 4 |
| 58.22 | 13 | 1 -3 2 |
| 58.35 | 10 | 0 2 -4 |
| 58.80 | 11 | 2 0 -4 |
| 58.98 | 25 | 3 -1 2 |

Crystal structure
Unit cell a=5.4103 b=5.5034 c=7.7137 alpha=90.13 beta=90.06 gamma=90.01
Atoms (fractional coordinates):
Ca: 0.0071 0.4585 0.2331
Ca: 0.4886 0.9493 0.2339
Ca: 0.5114 0.0507 0.7661
Ca: 0.9929 0.5415 0.7669
Mn: 0.0000 0.0000 0.0000
Mn: 0.5000 0.5000 0.0000
Mn: 0.5000 0.5000 0.5000
Sb: 0.0000 0.0000 0.5000
O: 0.0849 0.9767 0.7515
O: 0.2022 0.7009 0.4527
O: 0.2092 0.7121 0.0384
O: 0.2886 0.2102 0.0385
O: 0.3016 0.2032 0.4530
O: 0.4205 0.4769 0.7480
O: 0.5795 0.5231 0.2520
O: 0.6984 0.7968 0.5470
O: 0.7114 0.7898 0.9615
O: 0.7908 0.2879 0.9616
O: 0.7978 0.2991 0.5473
O: 0.9151 0.0233 0.2485